Structure and computed X-ray diffraction stick pattern of LaMgCrMoO6 (a structure optimized by DFT (GGA+U); Cu Kα (λ = 1.5418 Å)).

Cell and atoms:
Unit cell a=5.417 b=5.556 c=7.933 alpha=90.04 beta=90.31 gamma=90.18
Fractional coordinates of all 20 atoms:
La 0.000 0.000 0.000
La 0.500 0.419 0.501
Mg 0.483 0.508 0.993
Mg 0.979 0.910 0.494
Cr 0.496 0.961 0.252
Cr 0.996 0.458 0.752
Mo 0.496 0.954 0.751
Mo 0.996 0.466 0.251
O 0.083 0.522 0.509
O 0.203 0.757 0.200
O 0.212 0.737 0.812
O 0.312 0.272 0.184
O 0.313 0.267 0.809
O 0.360 0.996 0.495
O 0.585 0.889 0.009
O 0.707 0.665 0.702
O 0.715 0.686 0.319
O 0.811 0.155 0.310
O 0.812 0.148 0.686
O 0.864 0.423 0.996

Largest 10 diffraction maxima, in order of falling intensity, 2θ from 10° to 80°:
- hkl -1 1 2, d 2.778, I 100
- hkl 1 -1 2, d 2.768, I 70
- hkl 0 1 1, d 4.551, I 38
- hkl 2 0 0, d 2.708, I 29
- hkl 2 0 -4, d 1.604, I 25
- hkl 1 0 1, d 4.462, I 20
- hkl 0 0 4, d 1.983, I 20
- hkl 1 0 -1, d 4.485, I 18
- hkl 2 -2 0, d 1.942, I 17
- hkl 2 2 0, d 1.936, I 17

***

Structure and computed X-ray diffraction stick pattern of LaMgCrSbO6 (a structure optimized by DFT (GGA+U); Cu Kα (λ = 1.5418 Å)).

Cell and atoms:
Unit cell a=5.484 b=5.699 c=9.645 alpha=90.00 beta=124.36 gamma=90.00
Fractional coordinates of all 20 atoms:
La 0.000 0.198 0.000
La 0.000 0.802 0.500
Mg 0.463 0.303 0.497
Mg 0.463 0.697 0.997
Cr 0.237 0.256 0.748
Cr 0.237 0.744 0.248
Sb 0.739 0.255 0.251
Sb 0.739 0.745 0.751
O 0.016 0.466 0.815
O 0.016 0.534 0.315
O 0.121 0.061 0.311
O 0.121 0.939 0.811
O 0.385 0.463 0.189
O 0.385 0.537 0.689
O 0.484 0.067 0.683
O 0.484 0.933 0.183
O 0.584 0.317 0.998
O 0.584 0.683 0.498
O 0.848 0.216 0.502
O 0.848 0.784 0.002

Largest 10 diffraction maxima, in order of falling intensity, 2θ from 10° to 80°:
- hkl 1 1 1, d 2.810, I 100
- hkl 1 1 -3, d 2.799, I 99
- hkl 1 0 -2, d 4.515, I 56
- hkl 0 1 1, d 4.634, I 55
- hkl 2 2 -2, d 1.976, I 45
- hkl 0 2 0, d 2.849, I 44
- hkl 2 0 -2, d 2.742, I 42
- hkl 0 1 3, d 2.409, I 32
- hkl 1 3 -3, d 1.636, I 29
- hkl 0 0 4, d 1.991, I 27

***

Structure and computed X-ray diffraction stick pattern of LaMgCrSnO6 (a structure optimized by DFT (GGA+U); Cu Kα (λ = 1.5418 Å)).

Cell and atoms:
Unit cell a=5.446 b=5.619 c=9.555 alpha=90.00 beta=124.38 gamma=90.00
Fractional coordinates of all 20 atoms:
La 0.000 0.209 0.000
La 0.000 0.791 0.500
Mg 0.469 0.306 0.501
Mg 0.469 0.694 0.001
Cr 0.239 0.252 0.749
Cr 0.239 0.748 0.249
Sn 0.741 0.251 0.252
Sn 0.741 0.749 0.752
O 0.016 0.462 0.809
O 0.016 0.538 0.309
O 0.121 0.058 0.313
O 0.121 0.942 0.813
O 0.388 0.472 0.187
O 0.388 0.528 0.687
O 0.489 0.063 0.687
O 0.489 0.937 0.187
O 0.577 0.312 0.996
O 0.577 0.688 0.496
O 0.856 0.217 0.503
O 0.856 0.783 0.003

Largest 10 diffraction maxima, in order of falling intensity, 2θ from 10° to 80°:
- hkl 1 1 1, d 2.783, I 100
- hkl 1 1 -3, d 2.770, I 99
- hkl 0 1 1, d 4.576, I 54
- hkl 2 2 -2, d 1.955, I 49
- hkl 0 2 0, d 2.810, I 46
- hkl 2 0 -2, d 2.723, I 42
- hkl 1 2 0, d 2.381, I 36
- hkl 1 3 -3, d 1.616, I 34
- hkl 1 0 -2, d 4.468, I 31
- hkl 0 0 4, d 1.971, I 27

***

Structure and computed X-ray diffraction stick pattern of La3MgTi3CrO12 (a structure optimized by DFT (GGA+U); Cu Kα (λ = 1.5418 Å)).

Cell and atoms:
Unit cell a=5.494 b=5.534 c=7.912 alpha=90.22 beta=90.05 gamma=90.29
Fractional coordinates of all 20 atoms:
La 0.000 0.000 0.000
La 0.013 0.080 0.503
La 0.498 0.576 0.501
Mg 0.497 0.515 0.994
Ti 0.003 0.538 0.243
Ti 0.503 0.042 0.244
Ti 0.505 0.046 0.758
Cr 0.005 0.540 0.757
O 0.117 0.549 0.001
O 0.203 0.834 0.279
O 0.207 0.840 0.723
O 0.289 0.325 0.298
O 0.295 0.329 0.702
O 0.446 0.111 0.999
O 0.571 0.013 0.502
O 0.692 0.725 0.189
O 0.693 0.733 0.814
O 0.808 0.235 0.228
O 0.809 0.235 0.777
O 0.931 0.545 0.502

Largest 10 diffraction maxima, in order of falling intensity, 2θ from 10° to 80°:
- hkl 1 -1 2, d 2.780, I 100
- hkl 0 2 0, d 2.768, I 61
- hkl 2 0 0, d 2.747, I 33
- hkl 0 0 4, d 1.978, I 22
- hkl 2 0 -4, d 1.605, I 21
- hkl 3 -1 2, d 1.594, I 21
- hkl 2 2 0, d 1.944, I 18
- hkl 2 -2 0, d 1.954, I 18
- hkl 2 0 2, d 2.256, I 16
- hkl 3 1 -2, d 1.590, I 15